Entry 1:
This entry pairs a crystal structure of Pm5Si2Br5 with its theoretical XRD peak list. Radiation: λ = 1.5418 Å (Cu Kα). Structure: a cell relaxed with GGA-PBE.
Kinematic intensities with the Lorentz-polarization factor, no thermal factor.

Main lines, most intense first (2θ = 15–90°):
h k l  d (Å)  2theta  I (rel.)
3 1 -1  3.072  29.1  100
2 0 2  4.121  21.6  72
0 2 0  2.108  42.9  41
2 0 -4  3.256  27.4  39
3 1 0  3.029  29.5  29
1 1 3  2.838  31.5  28

Structure:
```
data_Pm5Si2Br5
_cell_length_a 13.509
_cell_length_b 4.215
_cell_length_c 13.442
_cell_angle_alpha 90.00
_cell_angle_beta 104.63
_cell_angle_gamma 90.00
_symmetry_space_group_name_H-M 'C 1 2/m 1'
_symmetry_Int_Tables_number 12
_symmetry_space_group_name_Hall '-C 2y'
loop_
_atom_site_label
_atom_site_type_symbol
_atom_site_fract_x
_atom_site_fract_y
_atom_site_fract_z
Pm1 Pm 0.000 0.000 0.000
Pm2 Pm 0.097 0.000 0.403
Pm3 Pm 0.158 0.500 0.822
Si1 Si 0.018 0.000 0.796
Br1 Br 0.000 0.500 0.500
Br2 Br 0.167 0.500 0.051
Br3 Br 0.248 0.500 0.370
```



Entry 2:
This entry pairs a crystal structure of Pm6SiTc2Br3 with its theoretical XRD peak list. Radiation: λ = 1.5418 Å (Cu Kα). Structure: a cell relaxed with GGA-PBE.
Kinematic intensities with the Lorentz-polarization factor, no thermal factor.

Main lines, most intense first (2θ = 15–90°):
h k l  d (Å)  2theta  I (rel.)
1 3 1  3.024  29.5  100
2 0 -2  3.064  29.1  49
3 3 -1  2.064  43.9  39
1 3 -3  2.253  40.0  28
2 0 2  2.277  39.6  20
0 6 0  2.022  44.8  15

Structure:
```
data_Pm6SiTc2Br3
_cell_length_a 7.202
_cell_length_b 12.131
_cell_length_c 8.172
_cell_angle_alpha 90.00
_cell_angle_beta 106.89
_cell_angle_gamma 90.00
_symmetry_space_group_name_H-M 'C 1 2/m 1'
_symmetry_Int_Tables_number 12
_symmetry_space_group_name_Hall '-C 2y'
loop_
_atom_site_label
_atom_site_type_symbol
_atom_site_fract_x
_atom_site_fract_y
_atom_site_fract_z
Pm1 Pm 0.242 0.177 0.186
Pm2 Pm 0.249 0.000 0.771
Si1 Si 0.000 0.000 0.000
Tc1 Tc 0.000 0.365 0.000
Br1 Br 0.000 0.173 0.500
Br2 Br 0.000 0.500 0.500
```



Entry 3:
This entry pairs a crystal structure of Pm2SmBr5 with its theoretical XRD peak list. Radiation: λ = 1.5418 Å (Cu Kα). Structure: a cell relaxed with GGA-PBE.
Kinematic intensities with the Lorentz-polarization factor, no thermal factor.

Main lines, most intense first (2θ = 15–90°):
h k l  d (Å)  2theta  I (rel.)
2 0 2  3.108  28.7  100
1 1 2  3.312  26.9  67
0 5 1  2.465  36.4  64
0 0 2  3.541  25.2  53
4 2 1  2.677  33.5  52
2 1 0  5.779  15.3  51

Structure:
```
data_Pm2SmBr5
_cell_length_a 12.870
_cell_length_b 13.144
_cell_length_c 7.100
_cell_angle_alpha 90.00
_cell_angle_beta 90.00
_cell_angle_gamma 90.00
_symmetry_space_group_name_H-M 'P n n m'
_symmetry_Int_Tables_number 58
_symmetry_space_group_name_Hall '-P 2 2n'
loop_
_atom_site_label
_atom_site_type_symbol
_atom_site_fract_x
_atom_site_fract_y
_atom_site_fract_z
Pm1 Pm 0.000 0.000 0.247
Pm2 Pm 0.102 0.398 0.500
Sm1 Sm 0.214 0.300 0.000
Br1 Br 0.061 0.219 0.253
Br2 Br 0.138 0.625 0.500
Br3 Br 0.164 0.907 0.000
Br4 Br 0.188 0.994 0.500
```



Entry 4:
This entry pairs a crystal structure of PmSmBr2 with its theoretical XRD peak list. Radiation: λ = 1.5418 Å (Cu Kα). Structure: a cell relaxed with GGA-PBE.
Kinematic intensities with the Lorentz-polarization factor, no thermal factor.

Main lines, most intense first (2θ = 15–90°):
h k l  d (Å)  2theta  I (rel.)
1 1 0  3.313  26.9  100
1 2 -1  2.495  36.0  69
1 0 -3  2.419  37.2  55
0 1 3  2.901  30.8  55
0 2 2  2.862  31.3  47
0 1 2  3.965  22.4  37

Structure:
```
data_PmSmBr2
_cell_length_a 3.737
_cell_length_b 7.164
_cell_length_c 9.520
_cell_angle_alpha 90.00
_cell_angle_beta 90.04
_cell_angle_gamma 90.00
_symmetry_space_group_name_H-M 'P 1 21 1'
_symmetry_Int_Tables_number 4
_symmetry_space_group_name_Hall 'P 2yb'
loop_
_atom_site_label
_atom_site_type_symbol
_atom_site_fract_x
_atom_site_fract_y
_atom_site_fract_z
Pm1 Pm 0.249 0.000 0.423
Sm1 Sm 0.252 0.186 0.797
Br1 Br 0.248 0.971 0.083
Br2 Br 0.251 0.805 0.694
```



Entry 5:
This entry pairs a crystal structure of SrPmBr6 with its theoretical XRD peak list. Radiation: λ = 1.5418 Å (Cu Kα). Structure: a cell relaxed with GGA-PBE.
Kinematic intensities with the Lorentz-polarization factor, no thermal factor.

Main lines, most intense first (2θ = 15–90°):
h k l  d (Å)  2theta  I (rel.)
4 0 0  2.954  30.3  100
4 2 0  2.642  33.9  88
4 4 0  2.089  43.3  73
6 0 0  1.969  46.1  46
8 4 0  1.321  71.4  32
6 4 4  1.433  65.1  26

Structure:
```
data_SrPmBr6
_cell_length_a 11.814
_cell_length_b 11.814
_cell_length_c 11.814
_cell_angle_alpha 90.00
_cell_angle_beta 90.00
_cell_angle_gamma 90.00
_symmetry_space_group_name_H-M 'F m -3 m'
_symmetry_Int_Tables_number 225
_symmetry_space_group_name_Hall '-F 4 2 3'
loop_
_atom_site_label
_atom_site_type_symbol
_atom_site_fract_x
_atom_site_fract_y
_atom_site_fract_z
Sr1 Sr 0.000 0.000 0.000
Pm1 Pm 0.000 0.000 0.500
Br1 Br 0.000 0.000 0.258
```



Entry 6:
This entry pairs a crystal structure of PmTeBr with its theoretical XRD peak list. Radiation: λ = 1.5418 Å (Cu Kα). Structure: a cell relaxed with GGA-PBE.
Kinematic intensities with the Lorentz-polarization factor, no thermal factor.

Main lines, most intense first (2θ = 15–90°):
h k l  d (Å)  2theta  I (rel.)
1 1 2  2.925  30.6  100
1 0 7  2.669  33.6  89
1 1 6  2.406  37.4  71
2 0 0  2.133  42.4  56
2 1 7  1.666  55.1  45
1 0 9  2.257  39.9  43

Structure:
```
data_PmTeBr
_cell_length_a 4.266
_cell_length_b 4.266
_cell_length_c 23.945
_cell_angle_alpha 90.00
_cell_angle_beta 90.00
_cell_angle_gamma 90.00
_symmetry_space_group_name_H-M 'I -4 m 2'
_symmetry_Int_Tables_number 119
_symmetry_space_group_name_Hall 'I -4 -2'
loop_
_atom_site_label
_atom_site_type_symbol
_atom_site_fract_x
_atom_site_fract_y
_atom_site_fract_z
Pm1 Pm 0.000 0.000 0.158
Te1 Te 0.000 0.000 0.296
Br1 Br 0.000 0.500 0.072
```



Entry 7:
This entry pairs a crystal structure of PmTl3Br7 with its theoretical XRD peak list. Radiation: λ = 1.5418 Å (Cu Kα). Structure: a cell relaxed with GGA-PBE.
Kinematic intensities with the Lorentz-polarization factor, no thermal factor.

Main lines, most intense first (2θ = 15–90°):
h k l  d (Å)  2theta  I (rel.)
0 2 1  4.181  21.3  100
0 4 0  2.735  32.7  58
2 2 1  2.565  35.0  53
4 0 -2  2.984  29.9  51
2 2 -3  2.489  36.1  48
2 0 0  4.494  19.8  46

Structure:
```
data_PmTl3Br7
_cell_length_a 11.948
_cell_length_b 10.944
_cell_length_c 8.616
_cell_angle_alpha 90.00
_cell_angle_beta 131.21
_cell_angle_gamma 90.00
_symmetry_space_group_name_H-M 'C 1 m 1'
_symmetry_Int_Tables_number 8
_symmetry_space_group_name_Hall 'C -2y'
loop_
_atom_site_label
_atom_site_type_symbol
_atom_site_fract_x
_atom_site_fract_y
_atom_site_fract_z
Pm1 Pm 0.000 0.000 0.000
Tl1 Tl 0.064 0.219 0.566
Tl2 Tl 0.072 0.500 0.142
Br1 Br 0.189 0.500 0.617
Br2 Br 0.201 0.000 0.917
Br3 Br 0.201 0.188 0.324
Br4 Br 0.372 0.500 0.193
Br5 Br 0.445 0.243 0.837
```



Entry 8:
This entry pairs a crystal structure of PmTmBr6 with its theoretical XRD peak list. Radiation: λ = 1.5418 Å (Cu Kα). Structure: a cell relaxed with GGA-PBE.
Kinematic intensities with the Lorentz-polarization factor, no thermal factor.

Main lines, most intense first (2θ = 15–90°):
h k l  d (Å)  2theta  I (rel.)
1 3 1  3.071  29.1  100
1 1 -1  5.208  17.0  78
3 3 -1  2.076  43.6  65
2 0 -2  2.818  31.8  44
2 4 0  2.389  37.7  34
1 1 1  3.987  22.3  24

Structure:
```
data_PmTmBr6
_cell_length_a 7.012
_cell_length_b 13.617
_cell_length_c 7.011
_cell_angle_alpha 90.00
_cell_angle_beta 107.01
_cell_angle_gamma 90.00
_symmetry_space_group_name_H-M 'C 1 2/m 1'
_symmetry_Int_Tables_number 12
_symmetry_space_group_name_Hall '-C 2y'
loop_
_atom_site_label
_atom_site_type_symbol
_atom_site_fract_x
_atom_site_fract_y
_atom_site_fract_z
Pm1 Pm 0.000 0.000 0.000
Tm1 Tm 0.000 0.500 0.500
Br1 Br 0.240 0.358 0.741
Br2 Br 0.246 0.500 0.255
```



Entry 9:
This entry pairs a crystal structure of Pr2Br5 with its theoretical XRD peak list. Radiation: λ = 1.5418 Å (Cu Kα). Structure: a cell relaxed with GGA-PBE.
Kinematic intensities with the Lorentz-polarization factor, no thermal factor.

Main lines, most intense first (2θ = 15–90°):
h k l  d (Å)  2theta  I (rel.)
1 1 -3  2.933  30.5  100
2 1 0  2.975  30.0  81
1 1 2  3.257  27.4  60
2 1 -2  2.768  32.3  56
0 2 0  2.085  43.4  54
1 1 -5  2.244  40.2  50

Structure:
```
data_Pr2Br5
_cell_length_a 8.502
_cell_length_b 4.171
_cell_length_c 13.787
_cell_angle_alpha 90.00
_cell_angle_beta 92.98
_cell_angle_gamma 90.00
_symmetry_space_group_name_H-M 'P 1 21/m 1'
_symmetry_Int_Tables_number 11
_symmetry_space_group_name_Hall '-P 2yb'
loop_
_atom_site_label
_atom_site_type_symbol
_atom_site_fract_x
_atom_site_fract_y
_atom_site_fract_z
Pr1 Pr 0.081 0.250 0.157
Pr2 Pr 0.403 0.750 0.347
Br1 Br 0.140 0.250 0.782
Br2 Br 0.154 0.250 0.377
Br3 Br 0.183 0.750 0.014
Br4 Br 0.364 0.750 0.571
Br5 Br 0.440 0.250 0.190
```



Entry 10:
This entry pairs a crystal structure of PrBr with its theoretical XRD peak list. Radiation: λ = 1.5418 Å (Cu Kα). Structure: a cell relaxed with GGA-PBE.
Kinematic intensities with the Lorentz-polarization factor, no thermal factor.

Main lines, most intense first (2θ = 15–90°):
h k l  d (Å)  2theta  I (rel.)
1 0 2  2.676  33.5  100
1 1 0  2.935  30.5  93
2 1 2  1.640  56.1  45
2 0 0  2.076  43.6  34
1 1 2  2.249  40.1  26
1 0 4  1.613  57.1  24

Structure:
```
data_PrBr
_cell_length_a 4.151
_cell_length_b 4.151
_cell_length_c 7.003
_cell_angle_alpha 90.00
_cell_angle_beta 90.00
_cell_angle_gamma 90.00
_symmetry_space_group_name_H-M 'P 4/n m m'
_symmetry_Int_Tables_number 129
loop_
_symmetry_equiv_pos_as_xyz
'x,y,z'
'-x,-y,-z'
'-y+1/2,x,z'
'y+1/2,-x,-z'
'-x+1/2,-y+1/2,z'
'x+1/2,y+1/2,-z'
'y,-x+1/2,z'
'-y,x+1/2,-z'
'x+1/2,-y,-z'
'-x+1/2,y,z'
'-y,-x,-z'
'y,x,z'
'-x,y+1/2,-z'
'x,-y+1/2,z'
'y+1/2,x+1/2,-z'
'-y+1/2,-x+1/2,z'
loop_
_atom_site_label
_atom_site_type_symbol
_atom_site_fract_x
_atom_site_fract_y
_atom_site_fract_z
Pr1 Pr 0.250 0.250 0.179
Br1 Br 0.250 0.250 0.657
```



Entry 11:
This entry pairs a crystal structure of Pr2PtBr2 with its theoretical XRD peak list. Radiation: λ = 1.5418 Å (Cu Kα). Structure: a cell relaxed with GGA-PBE.
Kinematic intensities with the Lorentz-polarization factor, no thermal factor.

Main lines, most intense first (2θ = 15–90°):
h k l  d (Å)  2theta  I (rel.)
0 1 5  3.184  28.0  100
1 1 0  2.092  43.2  76
0 1 8  2.734  32.8  49
3 0 0  1.208  79.3  24
1 0 10  2.452  36.6  21
1 1 18  1.386  67.6  19

Structure:
```
data_Pr2PtBr2
_cell_length_a 4.1853
_cell_length_b 4.1853
_cell_length_c 33.3020
_cell_angle_alpha 90.00
_cell_angle_beta 90.00
_cell_angle_gamma 120.00
_symmetry_space_group_name_H-M 'R -3 m'
_symmetry_Int_Tables_number 166
_symmetry_space_group_name_Hall '-R 3 2"'
loop_
_atom_site_label
_atom_site_type_symbol
_atom_site_fract_x
_atom_site_fract_y
_atom_site_fract_z
Pr1 Pr 0.0000 0.0000 0.1156
Pt1 Pt 0.0000 0.0000 0.5000
Br1 Br 0.0000 0.0000 0.2766
```



Entry 12:
This entry pairs a crystal structure of Pr4PtRhBr2 with its theoretical XRD peak list. Radiation: λ = 1.5418 Å (Cu Kα). Structure: a cell relaxed with GGA-PBE.
Kinematic intensities with the Lorentz-polarization factor, no thermal factor.

Main lines, most intense first (2θ = 15–90°):
h k l  d (Å)  2theta  I (rel.)
1 1 1  3.102  28.8  100
0 2 0  2.108  42.9  38
2 0 2  2.289  39.4  30
4 0 0  1.744  52.5  19
1 1 -4  1.844  49.4  11
1 1 2  2.469  36.4  11

Structure:
```
data_Pr4PtRhBr2
_cell_length_a 7.312
_cell_length_b 4.212
_cell_length_c 8.212
_cell_angle_alpha 90.00
_cell_angle_beta 107.43
_cell_angle_gamma 90.00
_symmetry_space_group_name_H-M 'P 1 2/m 1'
_symmetry_Int_Tables_number 10
_symmetry_space_group_name_Hall '-P 2y'
loop_
_atom_site_label
_atom_site_type_symbol
_atom_site_fract_x
_atom_site_fract_y
_atom_site_fract_z
Pr1 Pr 0.229 0.000 0.196
Pr2 Pr 0.262 0.500 0.803
Pt1 Pt 0.500 0.000 0.000
Rh1 Rh 0.000 0.500 0.000
Br1 Br 0.000 0.000 0.500
Br2 Br 0.500 0.500 0.500
```